No. 1
Starting from a cell relaxed with GGA-PBE, the XRD peak list of Eu6Mg7H26 was computed for a wavelength of 1.5418 Å.
No peak broadening, texture or thermal motion is included.

Structural model:
```
data_Eu6Mg7H26
_symmetry_space_group_name_H-M 'C 1 2/m 1'
_symmetry_Int_Tables_number 12
_cell_length_a 17.787
_cell_length_b 5.534
_cell_length_c 11.355
_cell_angle_alpha 90.00
_cell_angle_beta 128.10
_cell_angle_gamma 90.00
loop_
_symmetry_equiv_pos_as_xyz
'x,y,z'
'-x,-y,-z'
'-x,y,-z'
'x,-y,z'
'x+1/2,y+1/2,z'
'-x+1/2,-y+1/2,-z'
'-x+1/2,y+1/2,-z'
'x+1/2,-y+1/2,z'
loop_
_atom_site_label
_atom_site_type_symbol
_atom_site_fract_x
_atom_site_fract_y
_atom_site_fract_z
Eu1 Eu 0.146 0.000 0.411
Eu2 Eu 0.148 0.500 0.153
Eu3 Eu 0.160 0.000 0.903
Mg1 Mg 0.000 0.000 0.000
Mg2 Mg 0.000 0.244 0.500
Mg3 Mg 0.016 0.500 0.780
Mg4 Mg 0.223 0.500 0.712
H1 H 0.011 0.217 0.680
H2 H 0.036 0.256 0.926
H3 H 0.089 0.500 0.571
H4 H 0.097 0.000 0.583
H5 H 0.118 0.500 0.329
H6 H 0.128 0.000 0.179
H7 H 0.154 0.500 0.919
H8 H 0.247 0.239 0.140
H9 H 0.248 0.254 0.620
```

Most intense lines, 2θ = 10–80°, in order of rising 2θ:
- hkl 1 1 -1, 4.975 Å, intensity 24
- hkl 1 1 -2, 3.832 Å, intensity 32
- hkl 3 1 -2, 3.794 Å, intensity 40
- hkl 4 0 0, 3.499 Å, intensity 21
- hkl 1 1 2, 3.049 Å, intensity 100
- hkl 5 1 -2, 2.992 Å, intensity 85
- hkl 4 0 -4, 2.840 Å, intensity 65
- hkl 0 2 0, 2.767 Å, intensity 39
- hkl 4 2 -4, 1.981 Å, intensity 33
- hkl 6 2 0, 1.783 Å, intensity 22

No. 2
Starting from a cell relaxed with GGA-PBE, the XRD peak list of KTiPSe5 was computed for a wavelength of 1.5418 Å.
No peak broadening, texture or thermal motion is included.

Structural model:
```
data_KTiPSe5
_symmetry_space_group_name_H-M 'C 1 2/m 1'
_symmetry_Int_Tables_number 12
_cell_length_a 18.794
_cell_length_b 7.485
_cell_length_c 6.909
_cell_angle_alpha 90.00
_cell_angle_beta 98.91
_cell_angle_gamma 90.00
loop_
_symmetry_equiv_pos_as_xyz
'x,y,z'
'-x,-y,-z'
'-x,y,-z'
'x,-y,z'
'x+1/2,y+1/2,z'
'-x+1/2,-y+1/2,-z'
'-x+1/2,y+1/2,-z'
'x+1/2,-y+1/2,z'
loop_
_atom_site_label
_atom_site_type_symbol
_atom_site_fract_x
_atom_site_fract_y
_atom_site_fract_z
K1 K 0.231 0.000 0.233
Ti1 Ti 0.000 0.223 0.000
P1 P 0.136 0.500 0.211
Se1 Se 0.058 0.000 0.817
Se2 Se 0.083 0.500 0.894
Se3 Se 0.085 0.260 0.327
Se4 Se 0.247 0.000 0.742
```

Most intense lines, 2θ = 10–80°, in order of rising 2θ:
- hkl 2 0 -1, 5.957 Å, intensity 47
- hkl 2 2 0, 3.471 Å, intensity 28
- hkl 0 0 2, 3.413 Å, intensity 31
- hkl 6 0 0, 3.094 Å, intensity 54
- hkl 2 0 2, 3.054 Å, intensity 43
- hkl 2 2 1, 3.024 Å, intensity 45
- hkl 4 0 -2, 2.979 Å, intensity 28
- hkl 4 2 -1, 2.779 Å, intensity 100
- hkl 6 2 -1, 2.340 Å, intensity 34
- hkl 0 4 0, 1.871 Å, intensity 27